Computed powder X-ray diffraction pattern
Compound: Li2SiTe4
Radiation: CuKα
Structure: a PBE-relaxed structure
Lines closer than 0.1° are merged.

The 10 most intense peaks (10° ≤ 2θ ≤ 80°), by angle:
h k l  2θ/deg  Rel. int.
1 1 2  25.6  100
2 0 0  28.9  32
0 0 4  31.3  11
2 2 0  41.3  17
2 0 4  43.1  26
3 1 2  49.2  33
1 1 6  52.3  10
2 2 4  52.7  10
3 1 6  68.7  9
4 2 4  76.5  9

Crystal structure
```
data_Li2SiTe4
_chemical_formula_sum 'Li4 Si2 Te8'
_symmetry_space_group_name_H-M 'I -4 2 m'
_symmetry_Int_Tables_number 121
_symmetry_space_group_name_Hall 'I -4 2'
_cell_length_a 6.184
_cell_length_b 6.184
_cell_length_c 11.445
_cell_angle_alpha 90.00
_cell_angle_beta 90.00
_cell_angle_gamma 90.00
loop_
_atom_site_label
_atom_site_type_symbol
_atom_site_fract_x
_atom_site_fract_y
_atom_site_fract_z
Li1 Li 0.000 0.500 0.250
Si1 Si 0.000 0.000 0.000
Te1 Te 0.248 0.248 0.610
```